1.
Structure and computed powder XRD pattern of Ta2Nb4Tl3N3 (a DFT-relaxed cell (GGA-PBE, OQMD); Cu Kα, 1.54184 Å).

Most intense lines, 2θ = 10–80°, by angle:
2θ 31.69, 2.824 Å, I 22.6; 2θ 37.19, 2.418 Å, I 100.0; 2θ 38.48, 2.340 Å, I 18.9; 2θ 50.67, 1.802 Å, I 15.0; 2θ 56.44, 1.630 Å, I 20.8; 2θ 68.75, 1.365 Å, I 15.9; 2θ 69.54, 1.352 Å, I 15.7; 2θ 70.40, 1.337 Å, I 12.9

Cell and atoms:
```
Ta2Nb4Tl3N3
1.0
4.889 -2.825 0.000
4.889 2.825 0.000
-3.243 0.000 14.039
Ta Nb Tl N
4 8 6 6
Cartesian
2.390 2.325 8.112
2.524 2.325 12.946
4.012 -2.325 1.092
4.145 -2.325 5.927
2.498 0.513 1.110
2.449 0.404 5.908
0.876 -0.513 8.130
0.828 -0.404 12.927
5.708 0.404 1.112
5.659 0.513 5.909
4.086 -0.404 8.131
4.038 -0.513 12.928
-0.802 0.469 10.489
0.820 -0.469 3.469
2.457 0.473 10.529
4.079 -0.473 3.510
5.716 0.469 10.569
7.337 -0.469 3.550
0.823 1.412 7.019
4.135 1.500 0.000
4.023 1.500 7.019
2.445 -1.412 0.000
2.513 -1.500 7.019
5.644 -1.500 0.000
```

=====

2.
Structure and computed powder XRD pattern of Tm8Re (a DFT-relaxed cell (GGA-PBE, OQMD); Cu Kα, 1.54184 Å).

Most intense lines, 2θ = 10–80°, by angle:
2θ 30.60, 2.921 Å, I 42.1; 2θ 31.73, 2.820 Å, I 100.0; 2θ 33.83, 2.649 Å, I 54.8; 2θ 34.82, 2.576 Å, I 80.6; 2θ 39.56, 2.278 Å, I 57.9; 2θ 57.84, 1.594 Å, I 32.7; 2θ 60.50, 1.530 Å, I 20.1; 2θ 62.48, 1.486 Å, I 37.5

Cell and atoms:
```
Tm8Re
1.0
8.925 0.000 0.000
-4.463 7.729 0.000
0.000 0.000 3.639
Tm Re
8 1
Cartesian
-1.110 1.922 0.000
-2.844 4.926 1.819
2.219 0.000 0.000
0.000 5.153 0.000
1.618 2.803 1.819
5.688 0.000 1.819
4.463 2.576 0.000
3.353 5.808 0.000
0.000 0.000 1.819
```

=====

3.
Structure and computed powder XRD pattern of IrPtO3 (a DFT-relaxed cell (GGA-PBE, OQMD); Cu Kα, 1.54184 Å).

Most intense lines, 2θ = 10–80°, by angle:
2θ 31.39, 2.850 Å, I 100.0; 2θ 34.25, 2.618 Å, I 72.8; 2θ 47.14, 1.928 Å, I 37.2; 2θ 53.98, 1.699 Å, I 22.4; 2θ 59.55, 1.552 Å, I 34.4; 2θ 61.34, 1.511 Å, I 18.4; 2θ 65.50, 1.425 Å, I 13.9; 2θ 76.04, 1.252 Å, I 17.0

Cell and atoms:
```
IrPtO3
1.0
2.618 1.511 4.886
-2.618 1.511 4.886
0.000 -3.023 4.886
Ir Pt O
2 2 6
Cartesian
0.000 0.000 0.000
0.000 0.000 7.329
0.000 0.000 3.664
0.000 0.000 10.993
-1.630 0.199 6.107
-0.988 -1.312 8.550
0.642 -1.511 6.107
-0.642 1.511 8.550
0.988 1.312 6.107
1.630 -0.199 8.550
```

=====

4.
Structure and computed powder XRD pattern of Li8Ir4O11 (a DFT-relaxed cell (GGA-PBE, OQMD); Cu Kα, 1.54184 Å).

Most intense lines, 2θ = 10–80°, by angle:
2θ 18.55, 4.783 Å, I 100.0; 2θ 20.89, 4.253 Å, I 57.9; 2θ 23.49, 3.788 Å, I 35.2; 2θ 32.07, 2.791 Å, I 18.0; 2θ 34.90, 2.571 Å, I 19.7; 2θ 36.54, 2.459 Å, I 33.1; 2θ 42.77, 2.114 Å, I 20.1; 2θ 44.21, 2.049 Å, I 17.0

Cell and atoms:
```
Li8Ir4O11
1.0
5.006 0.000 0.000
0.925 5.010 0.000
0.455 2.363 8.493
Li Ir O
8 4 11
Cartesian
0.000 0.000 0.000
0.796 4.209 2.789
0.670 3.231 5.682
1.693 2.387 0.691
3.033 2.869 7.194
3.219 3.777 4.180
3.384 4.627 1.374
4.932 6.146 4.961
1.466 1.492 3.481
2.463 5.515 6.387
4.630 5.140 7.650
4.216 1.905 2.166
1.314 4.128 7.345
0.822 0.739 1.701
1.638 4.972 4.654
2.260 2.054 5.242
3.065 6.323 8.134
2.522 2.944 2.469
4.076 5.453 3.214
3.437 1.311 0.416
4.877 2.709 3.937
5.613 6.658 6.717
5.016 3.412 1.044
```

=====

5.
Structure and computed powder XRD pattern of Ta4Co5As5 (a DFT-relaxed cell (GGA-PBE, OQMD); Cu Kα, 1.54184 Å).

Most intense lines, 2θ = 10–80°, by angle:
2θ 18.48, 4.800 Å, I 15.5; 2θ 27.30, 3.266 Å, I 46.1; 2θ 31.41, 2.848 Å, I 21.3; 2θ 31.74, 2.819 Å, I 43.6; 2θ 45.26, 2.004 Å, I 100.0; 2θ 45.51, 1.993 Å, I 47.6; 2θ 56.34, 1.633 Å, I 17.6; 2θ 66.32, 1.409 Å, I 14.9

Cell and atoms:
```
Ta4Co5As5
1.0
-4.457 4.457 2.848
4.457 -4.457 2.848
4.457 4.457 -2.848
Ta Co As
4 5 5
Cartesian
6.241 0.871 -0.010
0.871 2.673 0.010
3.586 1.784 2.858
-1.784 3.586 2.839
5.403 2.593 -1.494
4.457 0.000 1.424
-0.946 1.864 1.355
2.593 3.511 1.494
1.864 0.946 4.342
0.000 0.000 0.000
3.614 1.895 0.007
2.562 -0.843 2.842
1.895 5.300 -0.007
0.843 2.562 2.855
```

=====

6.
Structure and computed powder XRD pattern of Cu7S4 (a DFT-relaxed cell (GGA-PBE, OQMD); Cu Kα, 1.54184 Å).

Most intense lines, 2θ = 10–80°, by angle:
2θ 26.56, 3.356 Å, I 100.0; 2θ 27.07, 3.293 Å, I 55.9; 2θ 32.07, 2.791 Å, I 37.8; 2θ 33.14, 2.703 Å, I 41.9; 2θ 34.95, 2.568 Å, I 76.1; 2θ 41.91, 2.156 Å, I 56.9; 2θ 43.97, 2.059 Å, I 39.2; 2θ 46.64, 1.947 Å, I 59.1

Cell and atoms:
```
Cu7S4
1.0
7.867 0.000 0.000
0.000 7.919 0.000
0.000 0.000 10.876
Cu S
28 16
Cartesian
0.123 1.980 0.977
0.135 1.980 3.697
0.639 5.939 3.581
1.269 0.178 10.207
1.269 3.782 10.207
1.768 0.695 7.191
1.768 3.264 7.191
2.166 4.654 1.753
2.166 7.224 1.753
2.665 4.137 4.769
2.665 7.741 4.769
3.295 1.980 9.019
3.799 5.939 9.135
3.811 5.939 6.415
4.056 1.980 4.461
4.068 1.980 1.740
4.573 5.939 1.857
5.203 0.178 6.107
5.203 3.782 6.107
5.702 0.695 9.123
5.702 3.264 9.123
6.099 4.654 3.685
6.099 7.224 3.685
6.598 4.137 0.669
6.598 7.741 0.669
7.229 1.980 7.295
7.733 5.939 7.178
7.745 5.939 9.899
0.058 0.002 2.520
0.058 3.957 2.520
1.638 5.939 5.620
1.863 1.980 5.257
2.071 5.939 10.695
2.296 1.980 0.182
3.876 7.916 7.957
3.876 3.962 7.957
3.991 0.002 2.918
3.991 3.957 2.918
5.571 5.939 10.694
5.796 1.980 0.181
6.005 5.939 5.619
6.230 1.980 5.256
7.810 7.916 8.356
7.810 3.962 8.356
```

=====

7.
Structure and computed powder XRD pattern of HfScNO (a DFT-relaxed cell (GGA-PBE, OQMD); Cu Kα, 1.54184 Å).

Most intense lines, 2θ = 10–80°, by angle:
2θ 11.76, 7.525 Å, I 73.5; 2θ 27.17, 3.282 Å, I 48.9; 2θ 27.68, 3.223 Å, I 50.0; 2θ 34.24, 2.619 Å, I 100.0; 2θ 34.99, 2.565 Å, I 45.1; 2θ 40.13, 2.247 Å, I 37.1; 2θ 50.06, 1.822 Å, I 45.0; 2θ 66.02, 1.415 Å, I 29.8

Cell and atoms:
```
HfScNO
1.0
7.525 0.000 0.000
0.000 6.246 0.000
0.000 0.000 4.494
Hf Sc N O
4 4 4 4
Cartesian
1.010 0.550 1.123
1.010 2.573 3.370
6.515 3.673 1.123
6.515 5.696 3.370
2.898 3.489 1.123
2.898 5.881 3.370
4.627 0.365 1.123
4.627 2.758 3.370
0.866 0.429 3.370
0.866 2.694 1.123
6.659 3.552 3.370
6.659 5.817 1.123
2.724 3.762 3.370
2.724 5.607 1.123
4.801 0.639 3.370
4.801 2.484 1.123
```

=====

8.
Structure and computed powder XRD pattern of HgIrPb2O6 (a DFT-relaxed cell (GGA-PBE, OQMD); Cu Kα, 1.54184 Å).

Most intense lines, 2θ = 10–80°, by angle:
2θ 30.26, 2.953 Å, I 100.0; 2θ 30.88, 2.896 Å, I 67.9; 2θ 31.35, 2.853 Å, I 31.7; 2θ 43.34, 2.088 Å, I 14.4; 2θ 44.18, 2.050 Å, I 29.9; 2θ 53.41, 1.715 Å, I 14.4; 2θ 54.46, 1.685 Å, I 16.4; 2θ 54.62, 1.680 Å, I 20.4

Cell and atoms:
```
HgIrPb2O6
1.0
5.042 -2.853 0.000
5.042 2.853 0.000
-3.306 0.000 4.884
Hg Ir Pb O
1 1 2 6
Cartesian
0.000 0.000 0.000
3.389 0.000 2.442
0.143 0.000 3.549
6.634 0.000 1.335
2.145 1.356 3.130
2.353 0.000 0.789
4.632 1.356 1.754
2.145 -1.356 3.130
4.424 0.000 4.095
4.632 -1.356 1.754
```

=====

9.
Structure and computed powder XRD pattern of Li2Mg2ZnSiPd2 (a DFT-relaxed cell (GGA-PBE, OQMD); Cu Kα, 1.54184 Å).

Most intense lines, 2θ = 10–80°, by angle:
2θ 24.91, 3.575 Å, I 81.9; 2θ 28.84, 3.096 Å, I 5.1; 2θ 32.33, 2.769 Å, I 3.7; 2θ 41.24, 2.189 Å, I 100.0; 2θ 48.78, 1.867 Å, I 37.7; 2θ 59.74, 1.548 Å, I 16.0; 2θ 65.73, 1.421 Å, I 14.7; 2θ 75.17, 1.264 Å, I 31.3

Cell and atoms:
```
Li2Mg2ZnSiPd2
1.0
4.378 0.000 0.000
0.000 4.378 0.000
0.000 0.000 6.194
Li Mg Zn Si Pd
2 2 1 1 2
Cartesian
0.000 2.189 1.543
2.189 0.000 4.651
0.000 0.000 0.000
2.189 2.189 3.097
0.000 0.000 3.097
2.189 2.189 0.000
0.000 2.189 4.737
2.189 0.000 1.457
```

=====

10.
Structure and computed powder XRD pattern of Ho4CCl4F (a DFT-relaxed cell (GGA-PBE, OQMD); Cu Kα, 1.54184 Å).

Most intense lines, 2θ = 10–80°, by angle:
2θ 10.83, 8.170 Å, I 49.3; 2θ 12.58, 7.035 Å, I 80.9; 2θ 29.87, 2.992 Å, I 70.7; 2θ 32.89, 2.723 Å, I 48.6; 2θ 35.39, 2.536 Å, I 100.0; 2θ 37.26, 2.413 Å, I 35.5; 2θ 49.01, 1.859 Å, I 31.5; 2θ 49.16, 1.853 Å, I 26.8

Cell and atoms:
```
Ho4CCl4F
1.0
8.359 -1.788 0.000
8.359 1.788 0.000
-1.520 0.000 7.035
Ho C Cl F
4 1 4 1
Cartesian
-0.374 0.000 1.896
5.296 0.000 2.951
9.901 0.000 4.084
15.571 0.000 5.139
7.599 0.000 3.518
1.399 0.000 6.058
2.395 0.000 2.236
12.802 0.000 4.799
13.798 0.000 0.978
8.359 0.000 0.000
```